For LaPm12Dy6, a crystal structure in Alexandria, relaxed with PBE gives the calculated powder XRD pattern in this record (Cu Kα (weighted mean of Kα1 and Kα2)).
Neutral-atom scattering factors, no anomalous dispersion.

Atomic structure:
```
data_LaPm12Dy6
_chemical_formula_sum 'La3 Pm36 Dy18'
_symmetry_space_group_name_H-M 'R -3 m'
_symmetry_Int_Tables_number 166
_symmetry_space_group_name_Hall '-R 3 2"'
_cell_length_a 13.4780
_cell_length_b 13.4780
_cell_length_c 12.6447
_cell_angle_alpha 90.00
_cell_angle_beta 90.00
_cell_angle_gamma 120.00
loop_
_atom_site_label
_atom_site_type_symbol
_atom_site_fract_x
_atom_site_fract_y
_atom_site_fract_z
_atom_site_occupancy
La1 La 0.0000 0.0000 0.0000 1
Pm1 Pm 0.0000 0.2591 0.5000 1
Pm2 Pm 0.0909 0.1818 0.2633 1
Dy1 Dy 0.0401 0.5201 0.6202 1
```

Largest 12 diffraction maxima, by angle, 2θ from 5° to 70°:
| (hkl) | Position (°2θ) | d/Å | I_rel |
| --- | --- | --- | --- |
| 1 3 1 | 28.5 | 3.136 | 25 |
| 1 0 4 | 29.3 | 3.051 | 49 |
| 3 1 2 | 31.0 | 2.882 | 56 |
| 0 3 3 | 31.3 | 2.859 | 68 |
| 4 0 1 | 31.5 | 2.843 | 100 |
| 0 4 2 | 33.8 | 2.649 | 36 |
| 2 2 3 | 34.1 | 2.632 | 31 |
| 3 2 1 | 34.2 | 2.620 | 31 |
| 3 0 6 | 49.2 | 1.853 | 21 |
| 4 4 0 | 54.5 | 1.685 | 24 |
| 4 3 4 | 56.1 | 1.640 | 28 |
| 0 7 2 | 57.1 | 1.612 | 20 |



For La2Pm6Dy3, a crystal structure in Alexandria, relaxed with PBE gives the calculated powder XRD pattern in this record (Cu Kα (weighted mean of Kα1 and Kα2)).
Neutral-atom scattering factors, no anomalous dispersion.

Atomic structure:
```
data_La2Pm6Dy3
_chemical_formula_sum 'La4 Pm12 Dy6'
_symmetry_space_group_name_H-M 'C 1 2/m 1'
_symmetry_Int_Tables_number 12
_symmetry_space_group_name_Hall '-C 2y'
_cell_length_a 6.225
_cell_length_b 10.799
_cell_length_c 11.938
_cell_angle_alpha 90.00
_cell_angle_beta 100.19
_cell_angle_gamma 90.00
loop_
_atom_site_label
_atom_site_type_symbol
_atom_site_fract_x
_atom_site_fract_y
_atom_site_fract_z
_atom_site_occupancy
La1 La 0.000 0.167 0.000 1
Pm1 Pm 0.249 0.166 0.746 1
Pm2 Pm 0.249 0.500 0.746 1
Dy1 Dy 0.000 0.000 0.500 1
Dy2 Dy 0.000 0.335 0.500 1
```

Largest 12 diffraction maxima, by angle, 2θ from 5° to 70°:
| (hkl) | Position (°2θ) | d/Å | I_rel |
| --- | --- | --- | --- |
| 0 0 1 | 7.5 | 11.750 | 15 |
| 2 0 -2 | 30.4 | 2.938 | 34 |
| 1 3 1 | 30.4 | 2.937 | 100 |
| 2 0 -3 | 33.8 | 2.649 | 2 |
| 1 3 -3 | 35.3 | 2.546 | 45 |
| 2 0 2 | 35.4 | 2.539 | 22 |
| 0 6 0 | 50.7 | 1.799 | 32 |
| 1 3 5 | 50.8 | 1.798 | 16 |
| 3 3 -5 | 60.3 | 1.535 | 19 |
| 2 6 -2 | 60.3 | 1.535 | 19 |
| 4 0 0 | 60.4 | 1.532 | 19 |
| 2 6 2 | 63.3 | 1.469 | 16 |



For LaPm2PrDy2, a crystal structure in Alexandria, relaxed with PBE gives the calculated powder XRD pattern in this record (Cu Kα (weighted mean of Kα1 and Kα2)).
Neutral-atom scattering factors, no anomalous dispersion.

Atomic structure:
```
data_LaPm2PrDy2
_chemical_formula_sum 'La2 Pm4 Pr2 Dy4'
_symmetry_space_group_name_H-M 'P n n m'
_symmetry_Int_Tables_number 58
_symmetry_space_group_name_Hall '-P 2 2n'
_cell_length_a 6.645
_cell_length_b 18.340
_cell_length_c 3.441
_cell_angle_alpha 90.00
_cell_angle_beta 90.00
_cell_angle_gamma 90.00
loop_
_atom_site_label
_atom_site_type_symbol
_atom_site_fract_x
_atom_site_fract_y
_atom_site_fract_z
_atom_site_occupancy
La1 La 0.000 0.000 0.000 1
Pm1 Pm 0.220 0.188 0.000 1
Pr1 Pr 0.000 0.500 0.000 1
Dy1 Dy 0.218 0.351 0.500 1
```

Largest 12 diffraction maxima, by angle, 2θ from 5° to 70°:
| (hkl) | Position (°2θ) | d/Å | I_rel |
| --- | --- | --- | --- |
| 0 1 1 | 26.4 | 3.382 | 34 |
| 2 2 0 | 28.6 | 3.124 | 98 |
| 0 6 0 | 29.2 | 3.056 | 100 |
| 0 3 1 | 29.8 | 2.998 | 93 |
| 1 2 1 | 30.8 | 2.899 | 34 |
| 1 6 0 | 32.2 | 2.777 | 38 |
| 2 4 0 | 33.3 | 2.690 | 56 |
| 1 4 1 | 35.3 | 2.543 | 40 |
| 2 1 1 | 38.0 | 2.370 | 24 |
| 2 3 1 | 40.5 | 2.226 | 67 |
| 1 9 1 | 54.1 | 1.695 | 31 |
| 2 2 2 | 61.5 | 1.507 | 22 |